No. 1
RbLiMg6O7: computed powder diffractogram (Cu Kα), based on a crystal structure in the Materials Project, relaxed with GGA-PBE.
Kinematic intensities with the Lorentz-polarization factor, no thermal factor.

Top 10 peaks for 2θ = 10–80°, by intensity:
index, 2theta, d/Å, I_rel
2 0 0, 40.07, 2.250, 1000
1 0 1, 22.34, 3.980, 404
1 1 2, 35.18, 2.551, 399
1 0 2, 28.84, 3.096, 373
2 2 0, 57.97, 1.591, 298
0 0 1, 10.37, 8.532, 228
1 0 0, 19.73, 4.500, 194
2 0 4, 59.74, 1.548, 190
1 0 3, 37.41, 2.404, 163
0 0 4, 42.37, 2.133, 153

a = 4.500 Å, b = 4.500 Å, c = 8.532 Å
α = 90.00°, β = 90.00°, γ = 90.00°
Space group P4mm (No. 99)
One atom of each set of equivalent atoms:
Rb  0.000  0.000  0.000 (multiplicity 1)
Li  0.500  0.500  0.908 (multiplicity 1)
Mg  0.000  0.000  0.438 (multiplicity 1)
Mg  0.000  0.500  0.155 (multiplicity 2)
Mg  0.000  0.500  0.692 (multiplicity 2)
Mg  0.500  0.500  0.413 (multiplicity 1)
O  0.000  0.000  0.660 (multiplicity 1)
O  0.000  0.500  0.389 (multiplicity 2)
O  0.000  0.500  0.921 (multiplicity 2)
O  0.500  0.500  0.169 (multiplicity 1)
O  0.500  0.500  0.651 (multiplicity 1)

No. 2
RbLiMg6O7: computed powder diffractogram (Cu Kα), based on a crystal structure in the Materials Project, relaxed with GGA-PBE.
Kinematic intensities with the Lorentz-polarization factor, no thermal factor.

Top 10 peaks for 2θ = 10–80°, by intensity:
index, 2theta, d/Å, I_rel
2 0 0, 39.10, 2.304, 1000
0 0 1, 10.87, 8.138, 465
1 0 1, 22.17, 4.009, 388
2 2 0, 56.49, 1.629, 310
1 1 2, 35.29, 2.543, 299
2 0 4, 60.73, 1.525, 211
1 0 2, 29.28, 3.050, 203
1 1 1, 29.53, 3.025, 183
1 0 3, 38.51, 2.338, 178
0 0 4, 44.53, 2.035, 154

a = 4.607 Å, b = 4.607 Å, c = 8.138 Å
α = 90.00°, β = 90.00°, γ = 90.00°
Space group P4mm (No. 99)
One atom of each set of equivalent atoms:
Rb  0.000  0.000  0.000 (multiplicity 1)
Li  0.000  0.000  0.550 (multiplicity 1)
Mg  0.000  0.500  0.328 (multiplicity 2)
Mg  0.000  0.500  0.826 (multiplicity 2)
Mg  0.500  0.500  0.088 (multiplicity 1)
Mg  0.500  0.500  0.577 (multiplicity 1)
O  0.000  0.000  0.328 (multiplicity 1)
O  0.000  0.500  0.074 (multiplicity 2)
O  0.000  0.500  0.592 (multiplicity 2)
O  0.500  0.500  0.332 (multiplicity 1)
O  0.500  0.500  0.832 (multiplicity 1)

No. 3
RbLiMg6O7: computed powder diffractogram (Cu Kα), based on a crystal structure in the Materials Project, relaxed with GGA-PBE.
Kinematic intensities with the Lorentz-polarization factor, no thermal factor.

Top 10 peaks for 2θ = 10–80°, by intensity:
index, 2theta, d/Å, I_rel
2 0 0, 43.67, 2.073, 1000
1 1 2, 34.15, 2.626, 827
1 0 0, 21.43, 4.146, 524
1 0 1, 22.73, 3.912, 505
1 0 2, 26.26, 3.393, 496
1 0 3, 31.33, 2.855, 410
0 0 4, 30.26, 2.953, 326
2 2 0, 63.47, 1.466, 287
0 0 2, 15.00, 5.907, 280
1 1 1, 31.44, 2.845, 250

a = 4.146 Å, b = 4.146 Å, c = 11.814 Å
α = 90.00°, β = 90.00°, γ = 90.00°
Space group P4mm (No. 99)
One atom of each set of equivalent atoms:
Rb  0.000  0.000  0.000 (multiplicity 1)
Li  0.500  0.500  0.129 (multiplicity 1)
Mg  0.000  0.000  0.518 (multiplicity 1)
Mg  0.000  0.500  0.304 (multiplicity 2)
Mg  0.000  0.500  0.712 (multiplicity 2)
Mg  0.500  0.500  0.539 (multiplicity 1)
O  0.000  0.000  0.347 (multiplicity 1)
O  0.000  0.000  0.726 (multiplicity 1)
O  0.000  0.500  0.144 (multiplicity 2)
O  0.000  0.500  0.532 (multiplicity 2)
O  0.500  0.500  0.720 (multiplicity 1)

No. 4
RbLiMg6O7: computed powder diffractogram (Cu Kα), based on a crystal structure in the Materials Project, relaxed with GGA-PBE.
Kinematic intensities with the Lorentz-polarization factor, no thermal factor.

Top 10 peaks for 2θ = 10–80°, by intensity:
index, 2theta, d/Å, I_rel
2 0 0, 43.56, 2.078, 1000
1 0 3, 31.90, 2.805, 693
1 1 1, 31.43, 2.847, 641
1 0 1, 22.77, 3.905, 625
1 0 2, 26.54, 3.359, 488
1 1 2, 34.33, 2.612, 457
2 2 0, 63.30, 1.469, 287
2 1 3, 54.99, 1.670, 274
0 0 3, 23.39, 3.802, 247
0 0 5, 39.50, 2.281, 224

a = 4.156 Å, b = 4.156 Å, c = 11.407 Å
α = 90.00°, β = 90.00°, γ = 90.00°
Space group P4mm (No. 99)
One atom of each set of equivalent atoms:
Rb  0.000  0.000  0.000 (multiplicity 1)
Li  0.000  0.000  0.484 (multiplicity 1)
Mg  0.000  0.500  0.292 (multiplicity 2)
Mg  0.000  0.500  0.665 (multiplicity 2)
Mg  0.500  0.500  0.461 (multiplicity 1)
Mg  0.500  0.500  0.856 (multiplicity 1)
O  0.000  0.000  0.259 (multiplicity 1)
O  0.000  0.000  0.655 (multiplicity 1)
O  0.000  0.500  0.480 (multiplicity 2)
O  0.000  0.500  0.843 (multiplicity 2)
O  0.500  0.500  0.282 (multiplicity 1)

No. 5
LiMg14SbO16: computed powder diffractogram (Cu Kα), based on a crystal structure in the Materials Project, relaxed with GGA-PBE.
Kinematic intensities with the Lorentz-polarization factor, no thermal factor.

Top 10 peaks for 2θ = 10–80°, by intensity:
index, 2theta, d/Å, I_rel
0 0 4, 41.85, 2.159, 1000
2 0 4, 60.61, 1.528, 860
2 0 0, 41.73, 2.164, 516
0 1 0, 10.25, 8.634, 391
0 1 2, 23.01, 3.866, 319
1 2 2, 36.00, 2.495, 277
0 1 1, 14.51, 6.106, 275
0 3 0, 31.05, 2.881, 265
2 4 4, 76.34, 1.247, 259
1 1 1, 25.22, 3.531, 222

a = 4.329 Å, b = 8.634 Å, c = 8.635 Å
α = 90.00°, β = 90.00°, γ = 90.00°
Space group Pmmm (No. 47)
One atom of each set of equivalent atoms:
Li  0.000  0.000  0.000 (multiplicity 1)
Mg  0.000  0.000  0.500 (multiplicity 1)
Mg  0.000  0.239  0.253 (multiplicity 4)
Mg  0.000  0.500  0.500 (multiplicity 1)
Mg  0.500  0.000  0.245 (multiplicity 2)
Mg  0.500  0.231  0.000 (multiplicity 2)
Mg  0.500  0.247  0.500 (multiplicity 2)
Mg  0.500  0.500  0.261 (multiplicity 2)
Sb  0.000  0.500  0.000 (multiplicity 1)
O  0.000  0.000  0.260 (multiplicity 2)
O  0.000  0.241  0.000 (multiplicity 2)
O  0.000  0.251  0.500 (multiplicity 2)
O  0.000  0.500  0.264 (multiplicity 2)
O  0.500  0.000  0.000 (multiplicity 1)
O  0.500  0.000  0.500 (multiplicity 1)
O  0.500  0.253  0.249 (multiplicity 4)
O  0.500  0.500  0.000 (multiplicity 1)
O  0.500  0.500  0.500 (multiplicity 1)